1.
The following is a calculated powder X-ray diffraction pattern of ZnN. It was derived from DFT lattice parameters and positions (GGA-PBE), using Cu Kα X-rays.

Atomic structure:
a b c (Å): 2.740 4.367 11.839
angles (deg): 90.00 90.00 90.00
Space group Immm (No. 71)
Symmetry-distinct sites (fractional):
Zn 0.000 0.000 0.234 (multiplicity 4)
N 0.000 0.000 0.048 (multiplicity 4)

Main lines, sorted by position (10° ≤ 2θ ≤ 80°):
d_spacing  Rel. int.  hkl
5.920  100  0 0 2
4.097  12  0 1 1
2.960  29  0 0 4
2.321  41  1 1 0
2.184  17  0 2 0
2.161  33  1 1 2
2.049  14  0 2 2
1.973  7  0 0 6
1.826  27  1 1 4
1.757  12  0 2 4
1.503  11  1 1 6
1.256  6  1 3 2

***

2.
The following is a calculated powder X-ray diffraction pattern of LaPuIrRh. It was derived from DFT lattice parameters and positions (GGA-PBE), using Cu Kα X-rays.

Atomic structure:
a b c (Å): 7.024 7.024 7.024
angles (deg): 90.00 90.00 90.00
Space group F-43m (No. 216)
Symmetry-distinct sites (fractional):
La 0.000 0.000 0.000 (multiplicity 4)
Pu 0.000 0.000 0.500 (multiplicity 4)
Ir 0.250 0.250 0.750 (multiplicity 4)
Rh 0.250 0.250 0.250 (multiplicity 4)

Main lines, sorted by position (10° ≤ 2θ ≤ 80°):
d_spacing  Rel. int.  hkl
4.055  8  1 1 1
3.512  2  2 0 0
2.483  100  2 2 0
2.118  5  3 1 1
1.756  18  4 0 0
1.611  2  3 3 1
1.571  1  4 2 0
1.434  37  4 2 2
1.352  2  5 1 1
1.242  11  4 4 0

***

3.
The following is a calculated powder X-ray diffraction pattern of KLa2Ag3Te8. It was derived from DFT lattice parameters and positions (GGA-PBE), using Cu Kα X-rays.

Atomic structure:
a b c (Å): 4.448 4.448 22.105
angles (deg): 90.00 90.00 90.00
Space group P4mm (No. 99)
Symmetry-distinct sites (fractional):
K 0.000 0.000 0.000 (multiplicity 1)
La 0.000 0.000 0.450 (multiplicity 1)
La 0.500 0.500 0.256 (multiplicity 1)
Ag 0.000 0.500 0.845 (multiplicity 2)
Ag 0.500 0.500 0.758 (multiplicity 1)
Te 0.000 0.000 0.298 (multiplicity 1)
Te 0.000 0.000 0.751 (multiplicity 1)
Te 0.000 0.500 0.139 (multiplicity 2)
Te 0.000 0.500 0.568 (multiplicity 2)
Te 0.500 0.500 0.408 (multiplicity 1)
Te 0.500 0.500 0.928 (multiplicity 1)

Main lines, sorted by position (10° ≤ 2θ ≤ 80°):
d_spacing  Rel. int.  hkl
7.368  46  0 0 3
3.158  28  0 0 7
3.025  57  1 1 2
2.893  55  1 1 3
2.837  20  1 0 6
2.734  95  1 1 4
2.575  21  1 0 7
2.392  42  1 1 6
2.225  100  2 0 0
1.818  23  2 0 7
1.573  26  2 2 0
1.363  21  3 1 4

***

4.
The following is a calculated powder X-ray diffraction pattern of Nd2Y3Ho9. It was derived from DFT lattice parameters and positions (GGA-PBE), using Cu Kα X-rays.

Atomic structure:
a b c (Å): 6.416 8.395 8.891
angles (deg): 87.76 83.31 71.13
Space group P1 (No. 1)
Symmetry-distinct sites (fractional):
Nd 0.000 0.000 0.000 (multiplicity 1)
Nd 0.148 0.648 0.197 (multiplicity 1)
Y 0.471 0.039 0.793 (multiplicity 1)
Y 0.621 0.344 0.165 (multiplicity 1)
Y 0.799 0.549 0.450 (multiplicity 1)
Ho 0.075 0.389 0.949 (multiplicity 1)
Ho 0.188 0.173 0.284 (multiplicity 1)
Ho 0.310 0.826 0.501 (multiplicity 1)
Ho 0.344 0.393 0.543 (multiplicity 1)
Ho 0.505 0.582 0.826 (multiplicity 1)
Ho 0.603 0.787 0.122 (multiplicity 1)
Ho 0.751 0.986 0.414 (multiplicity 1)
Ho 0.923 0.198 0.663 (multiplicity 1)
Ho 0.950 0.738 0.746 (multiplicity 1)

Main lines, sorted by position (10° ≤ 2θ ≤ 80°):
d_spacing  Rel. int.  hkl
2.955  40  0 2 2
2.841  100  1 2 -2
2.812  54  1 -2 1
2.768  36  1 0 3
2.763  80  2 0 -1
2.736  19  2 1 2
2.688  24  1 3 1
2.097  14  1 4 0
2.003  12  1 0 -4
1.912  11  3 0 2
1.706  13  2 3 4
1.600  13  3 -2 0

***

5.
The following is a calculated powder X-ray diffraction pattern of HoTiSi2Ru. It was derived from DFT lattice parameters and positions (GGA-PBE), using Cu Kα X-rays.

Atomic structure:
a b c (Å): 3.981 3.981 10.817
angles (deg): 90.00 90.00 90.00
Space group I-4m2 (No. 119)
Symmetry-distinct sites (fractional):
Ho 0.000 0.000 0.000 (multiplicity 2)
Ti 0.000 0.500 0.750 (multiplicity 2)
Si 0.000 0.000 0.390 (multiplicity 4)
Ru 0.000 0.500 0.250 (multiplicity 2)

Main lines, sorted by position (10° ≤ 2θ ≤ 80°):
d_spacing  Rel. int.  hkl
3.736  46  1 0 1
2.704  20  0 0 4
2.672  46  1 0 3
2.497  100  1 1 2
1.991  33  2 0 0
1.901  21  1 0 5
1.757  12  2 1 1
1.603  16  2 0 4
1.596  19  2 1 3
1.518  16  1 1 6
1.375  15  2 1 5
1.226  20  3 1 2

***

6.
The following is a calculated powder X-ray diffraction pattern of NaH2Cl3. It was derived from DFT lattice parameters and positions (GGA-PBE), using Cu Kα X-rays.

Atomic structure:
a b c (Å): 5.503 4.170 13.016
angles (deg): 90.00 95.97 90.00
Space group P2_1/m (No. 11)
Symmetry-distinct sites (fractional):
Na 0.230 0.250 0.437 (multiplicity 2)
H 0.010 0.250 0.081 (multiplicity 2)
H 0.499 0.250 0.703 (multiplicity 2)
Cl 0.225 0.750 0.927 (multiplicity 2)
Cl 0.270 0.750 0.579 (multiplicity 2)
Cl 0.271 0.750 0.263 (multiplicity 2)

Main lines, sorted by position (10° ≤ 2θ ≤ 80°):
d_spacing  Rel. int.  hkl
6.473  10  0 0 2
3.574  35  1 0 -3
3.317  54  1 1 0
3.229  24  1 0 3
2.999  100  0 1 3
2.737  35  2 0 0
2.158  14  0 0 6
2.098  26  2 1 -3
2.085  18  0 2 0
1.952  24  2 1 3
1.863  8  1 1 -6
1.659  13  2 2 0

***

7.
The following is a calculated powder X-ray diffraction pattern of AcGeN2. It was derived from DFT lattice parameters and positions (GGA-PBE), using Cu Kα X-rays.

Atomic structure:
a b c (Å): 5.901 14.619 6.912
angles (deg): 90.00 90.00 90.00
Space group Cmce (No. 64)
Symmetry-distinct sites (fractional):
Ac 0.000 0.167 0.042 (multiplicity 8)
Ge 0.000 0.075 0.590 (multiplicity 8)
N 0.000 0.173 0.413 (multiplicity 8)
N 0.250 0.102 0.750 (multiplicity 8)

Main lines, sorted by position (10° ≤ 2θ ≤ 80°):
d_spacing  Rel. int.  hkl
7.310  17  0 2 0
3.655  17  0 4 0
3.456  29  0 0 2
3.301  100  1 3 1
2.950  37  2 0 0
2.922  22  1 1 2
2.450  22  1 5 1
2.244  23  2 0 2
1.964  13  1 3 3
1.893  13  1 7 1
1.764  19  3 3 1
1.626  15  2 4 3

***

8.
The following is a calculated powder X-ray diffraction pattern of U2CoIr9. It was derived from DFT lattice parameters and positions (GGA-PBE), using Cu Kα X-rays.

Atomic structure:
a b c (Å): 3.998 3.998 11.825
angles (deg): 90.00 90.00 90.00
Space group P4/mmm (No. 123)
Symmetry-distinct sites (fractional):
U 0.000 0.000 0.175 (multiplicity 2)
Co 0.000 0.000 0.500 (multiplicity 1)
Ir 0.000 0.500 0.000 (multiplicity 2)
Ir 0.000 0.500 0.344 (multiplicity 4)
Ir 0.500 0.500 0.171 (multiplicity 2)
Ir 0.500 0.500 0.500 (multiplicity 1)

Main lines, sorted by position (10° ≤ 2θ ≤ 80°):
d_spacing  Rel. int.  hkl
3.787  2  1 0 1
3.312  2  1 0 2
2.550  3  1 1 2
2.365  2  0 0 5
2.297  100  1 1 3
1.999  34  2 0 0
1.971  15  0 0 6
1.527  2  2 0 5
1.413  11  2 2 0
1.403  20  2 0 6
1.310  2  1 1 8
1.204  26  3 1 3

***

9.
The following is a calculated powder X-ray diffraction pattern of CeHoPd. It was derived from DFT lattice parameters and positions (GGA-PBE), using Cu Kα X-rays.

Atomic structure:
a b c (Å): 3.531 3.531 12.295
angles (deg): 90.00 90.00 90.00
Space group I4mm (No. 107)
Symmetry-distinct sites (fractional):
Ce 0.000 0.000 0.000 (multiplicity 2)
Ho 0.000 0.000 0.282 (multiplicity 2)
Pd 0.000 0.000 0.651 (multiplicity 2)

Main lines, sorted by position (10° ≤ 2θ ≤ 80°):
d_spacing  Rel. int.  hkl
3.394  9  1 0 1
3.074  8  0 0 4
2.675  100  1 0 3
2.497  50  1 1 0
2.049  6  0 0 6
2.018  12  1 0 5
1.938  9  1 1 4
1.766  17  2 0 0
1.584  11  1 1 6
1.573  6  1 0 7
1.474  32  2 1 3
1.309  7  1 1 8

***

10.
The following is a calculated powder X-ray diffraction pattern of SmTcSe. It was derived from DFT lattice parameters and positions (GGA-PBE), using Cu Kα X-rays.

Atomic structure:
a b c (Å): 3.663 3.663 10.335
angles (deg): 90.00 90.00 90.00
Space group P4/nmm (No. 129, origin choice 2)
Symmetry-distinct sites (fractional):
Sm 0.250 0.250 0.238 (multiplicity 2)
Tc 0.250 0.250 0.521 (multiplicity 2)
Se 0.250 0.250 0.879 (multiplicity 2)

Main lines, sorted by position (10° ≤ 2θ ≤ 80°):
d_spacing  Rel. int.  hkl
3.449  52  0 0 3
2.590  100  1 1 0
2.510  92  1 0 3
2.070  29  1 1 3
1.831  46  2 0 0
1.800  9  1 0 5
1.617  21  2 0 3
1.559  16  1 0 6
1.494  7  2 0 4
1.480  35  2 1 3
1.295  10  2 2 0
1.284  6  2 1 5

***

11.
The following is a calculated powder X-ray diffraction pattern of Tm2Pu3ThTe6. It was derived from DFT lattice parameters and positions (GGA-PBE), using Cu Kα X-rays.

Atomic structure:
a b c (Å): 19.193 4.350 8.869
angles (deg): 90.00 103.85 90.00
Space group C2/m (No. 12)
Symmetry-distinct sites (fractional):
Tm 0.166 0.000 0.331 (multiplicity 4)
Pu 0.000 0.500 0.500 (multiplicity 2)
Pu 0.163 0.000 0.833 (multiplicity 4)
Th 0.000 0.500 0.000 (multiplicity 2)
Te 0.004 0.000 0.258 (multiplicity 4)
Te 0.169 0.500 0.578 (multiplicity 4)
Te 0.170 0.500 0.092 (multiplicity 4)

Main lines, sorted by position (10° ≤ 2θ ≤ 80°):
d_spacing  Rel. int.  hkl
3.106  100  1 1 -2
2.217  13  2 0 -4
2.203  26  7 1 -2
2.189  25  5 1 2
2.175  13  0 2 0
1.812  7  8 0 -4
1.797  7  4 0 4
1.782  14  6 2 0
1.553  13  2 2 -4
1.400  6  3 1 -6
1.392  12  8 2 -4
1.386  12  4 2 4

***

12.
The following is a calculated powder X-ray diffraction pattern of Rb3U2S3O4. It was derived from DFT lattice parameters and positions (GGA-PBE), using Cu Kα X-rays.

Atomic structure:
a b c (Å): 4.264 5.376 24.934
angles (deg): 90.00 90.00 90.00
Space group Immm (No. 71)
Symmetry-distinct sites (fractional):
Rb 0.000 0.000 0.000 (multiplicity 2)
Rb 0.000 0.000 0.200 (multiplicity 4)
U 0.000 0.000 0.392 (multiplicity 4)
S 0.000 0.000 0.500 (multiplicity 2)
S 0.000 0.500 0.396 (multiplicity 4)
O 0.000 0.000 0.315 (multiplicity 4)
O 0.000 0.500 0.107 (multiplicity 4)

Main lines, sorted by position (10° ≤ 2θ ≤ 80°):
d_spacing  Rel. int.  hkl
6.233  51  0 0 4
5.255  34  0 1 1
4.203  31  1 0 1
3.656  97  0 1 5
3.341  100  1 1 0
3.241  90  1 0 5
2.688  48  0 2 0
2.493  33  0 0 10
2.069  53  1 2 5
1.998  42  1 1 10
1.842  30  2 1 5
1.828  25  0 2 10

***

13.
The following is a calculated powder X-ray diffraction pattern of Ce7Sb4Te4. It was derived from DFT lattice parameters and positions (GGA-PBE), using Cu Kα X-rays.

Atomic structure:
a b c (Å): 15.749 15.749 7.924
angles (deg): 90.00 90.00 90.00
Space group I4/mmm (No. 139)
Symmetry-distinct sites (fractional):
Ce 0.000 0.000 0.246 (multiplicity 4)
Ce 0.000 0.278 0.000 (multiplicity 8)
Ce 0.000 0.376 0.500 (multiplicity 8)
Ce 0.202 0.202 0.500 (multiplicity 8)
Sb 0.149 0.351 0.250 (multiplicity 16)
Te 0.000 0.172 0.500 (multiplicity 8)
Te 0.123 0.123 0.000 (multiplicity 8)

Main lines, sorted by position (10° ≤ 2θ ≤ 80°):
d_spacing  Rel. int.  hkl
3.962  17  0 0 2
3.228  13  2 2 2
3.101  57  3 1 2
2.927  100  5 0 1
2.708  24  3 3 2
2.629  62  6 0 0
2.068  14  7 3 0
2.024  34  5 0 3
1.981  20  0 0 4
1.954  11  6 5 1
1.463  12  10 0 2
1.416  11  5 0 5